For Ac8Ir4O, a PBE-relaxed structure gives the simulated powder diffractogram in this record (λ = 1.5418 Å (Cu Kα)).

Most intense lines, 10 to 80 degrees two-theta, by intensity:
29.37°, I = 100
42.02°, I = 78
69.07°, I = 34
25.37°, I = 31
12.61°, I = 29
52.10°, I = 27
76.78°, I = 26
49.73°, I = 14
24.27°, I = 14
60.94°, I = 13

Atomic structure:
Unit cell a=8.600 b=8.600 c=8.600 alpha=60.00 beta=60.00 gamma=60.00
Fractional positions:
Ac  0.116  0.116  0.116
Ac  0.116  0.116  0.651
Ac  0.116  0.651  0.116
Ac  0.127  0.624  0.624
Ac  0.624  0.127  0.624
Ac  0.624  0.624  0.127
Ac  0.624  0.624  0.624
Ac  0.651  0.116  0.116
Ir  0.377  0.874  0.874
Ir  0.874  0.377  0.874
Ir  0.874  0.874  0.377
Ir  0.874  0.874  0.874
O  0.500  0.500  0.500